(1)
Computed powder diffractogram of NaCa5Ga3 for CuKα, from a cell relaxed with PBE.

Structure:
a b c (Å): 9.366 9.366 6.743
angles (deg): 90.00 90.00 120.00
Element x y z (fractional)
Na: 0.000 0.000 0.000
Na: 0.000 0.000 0.500
Ca: 0.000 0.315 0.250
Ca: 0.000 0.685 0.750
Ca: 0.315 0.000 0.250
Ca: 0.315 0.315 0.750
Ca: 0.333 0.667 0.000
Ca: 0.333 0.667 0.500
Ca: 0.667 0.333 0.000
Ca: 0.667 0.333 0.500
Ca: 0.685 0.000 0.750
Ca: 0.685 0.685 0.250
Ga: 0.000 0.360 0.750
Ga: 0.000 0.640 0.250
Ga: 0.360 0.000 0.750
Ga: 0.360 0.360 0.250
Ga: 0.640 0.000 0.250
Ga: 0.640 0.640 0.750

Peak list (10 most intense, 2θ from 15° to 90°, by angle)
| h k l | 2theta | d/Å | I (rel.) |
| --- | --- | --- | --- |
| 1 1 1 | 23.1 | 3.846 | 14.5 |
| 0 0 2 | 26.4 | 3.371 | 18.1 |
| 2 1 1 | 32.1 | 2.791 | 12.3 |
| 1 1 2 | 32.7 | 2.736 | 85.8 |
| 3 0 0 | 33.1 | 2.704 | 100.0 |
| 3 0 2 | 42.9 | 2.109 | 23.7 |
| 2 2 2 | 47.3 | 1.923 | 26.1 |
| 4 1 2 | 58.9 | 1.567 | 24.3 |
| 3 3 0 | 59.2 | 1.561 | 13.7 |
| 3 0 4 | 65.2 | 1.430 | 24.8 |

(2)
Computed powder diffractogram of Nd3Al2GaPt9 for CuKα, from a cell relaxed with PBE.

Structure:
a b c (Å): 6.455 6.455 9.088
angles (deg): 90.00 90.00 120.00
Element x y z (fractional)
Nd: 0.000 0.000 0.000
Nd: 0.333 0.667 0.721
Nd: 0.667 0.333 0.279
Al: 0.333 0.667 0.182
Al: 0.667 0.333 0.818
Ga: 0.000 0.000 0.500
Pt: 0.000 0.500 0.000
Pt: 0.140 0.281 0.282
Pt: 0.140 0.860 0.282
Pt: 0.281 0.140 0.718
Pt: 0.500 0.000 0.000
Pt: 0.500 0.500 0.000
Pt: 0.719 0.860 0.282
Pt: 0.860 0.140 0.718
Pt: 0.860 0.719 0.718

Peak list (10 most intense, 2θ from 15° to 90°, by angle)
| h k l | 2theta | d/Å | I (rel.) |
| --- | --- | --- | --- |
| 0 0 3 | 29.5 | 3.029 | 26.1 |
| 0 2 1 | 33.5 | 2.672 | 100.0 |
| 2 0 2 | 37.8 | 2.381 | 91.7 |
| 0 0 4 | 39.7 | 2.272 | 19.5 |
| 2 0 3 | 44.1 | 2.055 | 31.6 |
| 0 2 4 | 51.9 | 1.763 | 14.6 |
| 2 2 0 | 57.1 | 1.614 | 23.8 |
| 0 2 5 | 60.8 | 1.524 | 18.8 |
| 2 0 6 | 70.7 | 1.332 | 14.8 |
| 2 2 4 | 71.7 | 1.316 | 15.5 |

(3)
Computed powder diffractogram of Si23W3 for CuKα, from a cell relaxed with PBE.

Structure:
a b c (Å): 10.121 10.121 10.121
angles (deg): 90.00 90.00 90.00
Element x y z (fractional)
Si: 0.000 0.116 0.311
Si: 0.000 0.116 0.689
Si: 0.000 0.250 0.500
Si: 0.000 0.750 0.500
Si: 0.000 0.884 0.311
Si: 0.000 0.884 0.689
Si: 0.116 0.311 0.000
Si: 0.116 0.689 0.000
Si: 0.184 0.184 0.184
Si: 0.184 0.184 0.816
Si: 0.184 0.816 0.184
Si: 0.184 0.816 0.816
Si: 0.189 0.384 0.500
Si: 0.189 0.616 0.500
Si: 0.250 0.500 0.000
Si: 0.311 0.000 0.116
Si: 0.311 0.000 0.884
Si: 0.316 0.316 0.316
Si: 0.316 0.316 0.684
Si: 0.316 0.684 0.316
Si: 0.316 0.684 0.684
Si: 0.384 0.500 0.189
Si: 0.384 0.500 0.811
Si: 0.500 0.000 0.250
Si: 0.500 0.000 0.750
Si: 0.500 0.189 0.384
Si: 0.500 0.189 0.616
Si: 0.500 0.811 0.384
Si: 0.500 0.811 0.616
Si: 0.616 0.500 0.189
Si: 0.616 0.500 0.811
Si: 0.684 0.316 0.316
Si: 0.684 0.316 0.684
Si: 0.684 0.684 0.316
Si: 0.684 0.684 0.684
Si: 0.689 0.000 0.116
Si: 0.689 0.000 0.884
Si: 0.750 0.500 0.000
Si: 0.811 0.384 0.500
Si: 0.811 0.616 0.500
Si: 0.816 0.184 0.184
Si: 0.816 0.184 0.816
Si: 0.816 0.816 0.184
Si: 0.816 0.816 0.816
Si: 0.884 0.311 0.000
Si: 0.884 0.689 0.000
W: 0.000 0.500 0.250
W: 0.000 0.500 0.750
W: 0.250 0.000 0.500
W: 0.500 0.250 0.000
W: 0.500 0.750 0.000
W: 0.750 0.000 0.500

Peak list (10 most intense, 2θ from 15° to 90°, by angle)
| h k l | 2theta | d/Å | I (rel.) |
| --- | --- | --- | --- |
| 2 1 0 | 19.6 | 4.526 | 99.2 |
| 3 1 0 | 27.9 | 3.200 | 28.7 |
| 2 2 2 | 30.6 | 2.922 | 94.6 |
| 3 2 0 | 31.9 | 2.807 | 100.0 |
| 3 2 1 | 33.1 | 2.705 | 87.4 |
| 4 0 0 | 35.5 | 2.530 | 34.2 |
| 4 2 1 | 40.9 | 2.208 | 32.4 |
| 5 2 0 | 48.4 | 1.879 | 40.0 |
| 5 3 0 | 52.7 | 1.736 | 45.3 |
| 5 3 2 | 56.0 | 1.642 | 35.2 |